Entry 1:
Structure and theoretical PXRD pattern of AgSbBrCl6 (DFT lattice parameters and positions (GGA-PBE); a wavelength of 1.5418 Å).

Main lines, in order of falling intensity (2θ = 10–90°):
- d = 7.254 Å, I = 100
- d = 5.408 Å, I = 89
- d = 4.628 Å, I = 83
- d = 3.415 Å, I = 65
- d = 3.028 Å, I = 61
- d = 3.934 Å, I = 32
- d = 2.880 Å, I = 27
- d = 2.083 Å, I = 27
- d = 2.894 Å, I = 27
- d = 2.286 Å, I = 27

Structure:
```
AgSbBrCl6
1.0
6.947 0.000 0.000
-3.439 6.053 0.000
-1.428 -2.407 7.254
Ag Sb Br Cl
1 1 1 6
Cartesian
0.000 0.000 0.000 Ag
-1.161 1.482 7.251 Sb
3.025 0.661 3.622 Br
-0.783 2.138 1.451 Cl
-0.308 -0.263 5.798 Cl
2.367 -0.285 1.477 Cl
-0.155 3.260 5.797 Cl
2.202 4.016 1.455 Cl
3.496 1.714 5.761 Cl
```

=====

Entry 2:
Structure and theoretical PXRD pattern of Ag6SeBr2Cl (DFT lattice parameters and positions (GGA-PBE); a wavelength of 1.5418 Å).

Main lines, in order of falling intensity (2θ = 10–90°):
- d = 2.319 Å, I = 100
- d = 2.050 Å, I = 55
- d = 3.449 Å, I = 39
- d = 2.682 Å, I = 36
- d = 3.177 Å, I = 26
- d = 5.574 Å, I = 26
- d = 6.359 Å, I = 25
- d = 2.106 Å, I = 25
- d = 2.305 Å, I = 24
- d = 2.731 Å, I = 23

Structure:
```
Ag6SeBr2Cl
1.0
6.360 -3.024 0.000
6.360 3.024 0.000
-3.494 0.000 6.359
Ag Se Br Cl
6 1 2 1
Cartesian
2.605 1.533 4.031 Ag
2.588 0.000 1.390 Ag
6.621 1.533 2.328 Ag
2.605 -1.533 4.031 Ag
6.638 0.000 4.969 Ag
6.621 -1.533 2.328 Ag
4.613 0.000 3.179 Se
0.437 0.000 5.347 Br
8.790 0.000 1.012 Br
0.000 0.000 0.000 Cl
```

=====

Please write out number 2 again, unchanged.
Structure and theoretical PXRD pattern of Ag6SeBr2Cl (DFT lattice parameters and positions (GGA-PBE); a wavelength of 1.5418 Å).

Main lines, in order of falling intensity (2θ = 10–90°):
- d = 2.319 Å, I = 100
- d = 2.050 Å, I = 55
- d = 3.449 Å, I = 39
- d = 2.682 Å, I = 36
- d = 3.177 Å, I = 26
- d = 5.574 Å, I = 26
- d = 6.359 Å, I = 25
- d = 2.106 Å, I = 25
- d = 2.305 Å, I = 24
- d = 2.731 Å, I = 23

Structure:
```
Ag6SeBr2Cl
1.0
6.360 -3.024 0.000
6.360 3.024 0.000
-3.494 0.000 6.359
Ag Se Br Cl
6 1 2 1
Cartesian
2.605 1.533 4.031 Ag
2.588 0.000 1.390 Ag
6.621 1.533 2.328 Ag
2.605 -1.533 4.031 Ag
6.638 0.000 4.969 Ag
6.621 -1.533 2.328 Ag
4.613 0.000 3.179 Se
0.437 0.000 5.347 Br
8.790 0.000 1.012 Br
0.000 0.000 0.000 Cl
```

=====

Number 1 is which compound?
AgSbBrCl6

=====

What did the first record say?
Structure and theoretical PXRD pattern of AgSbBrCl6 (DFT lattice parameters and positions (GGA-PBE); a wavelength of 1.5418 Å).

Main lines, in order of falling intensity (2θ = 10–90°):
- d = 7.254 Å, I = 100
- d = 5.408 Å, I = 89
- d = 4.628 Å, I = 83
- d = 3.415 Å, I = 65
- d = 3.028 Å, I = 61
- d = 3.934 Å, I = 32
- d = 2.880 Å, I = 27
- d = 2.083 Å, I = 27
- d = 2.894 Å, I = 27
- d = 2.286 Å, I = 27

Structure:
```
AgSbBrCl6
1.0
6.947 0.000 0.000
-3.439 6.053 0.000
-1.428 -2.407 7.254
Ag Sb Br Cl
1 1 1 6
Cartesian
0.000 0.000 0.000 Ag
-1.161 1.482 7.251 Sb
3.025 0.661 3.622 Br
-0.783 2.138 1.451 Cl
-0.308 -0.263 5.798 Cl
2.367 -0.285 1.477 Cl
-0.155 3.260 5.797 Cl
2.202 4.016 1.455 Cl
3.496 1.714 5.761 Cl
```